No. 1
Simulated PXRD pattern of PrNdPS for Cu Kα (weighted mean of Kα1 and Kα2), from a structure optimized by DFT (GGA-PBE).
Peak positions follow from Bragg's law for the DFT cell and can differ from measured ones.

The 12 most intense peaks (10 to 80 degrees two-theta), in order of rising 2θ:
26.2 deg, I 19
26.4 deg, I 57
30.5 deg, I 100
43.6 deg, I 36
43.8 deg, I 36
51.6 deg, I 9
51.8 deg, I 28
54.3 deg, I 19
63.5 deg, I 12
70.1 deg, I 8
71.9 deg, I 16
72.2 deg, I 16

Structural model:
Lattice parameters (Å, degrees): 4.1360 4.1360 20.3851 90.00 90.00 120.00
Space group R3m (No. 160, hexagonal axes)
One atom of each set of equivalent atoms:
Pr: 0.0000 0.0000 0.0000 [3 per cell]
Nd: 0.0000 0.0000 0.5053 [3 per cell]
P: 0.0000 0.0000 0.2518 [3 per cell]
S: 0.0000 0.0000 0.7535 [3 per cell]

=====

No. 2
Simulated PXRD pattern of CePuPaN4 for Cu Kα (weighted mean of Kα1 and Kα2), from a structure optimized by DFT (GGA-PBE).
Peak positions follow from Bragg's law for the DFT cell and can differ from measured ones.

The 12 most intense peaks (10 to 80 degrees two-theta), in order of rising 2θ:
11.7 deg, I 8
24.6 deg, I 4
29.8 deg, I 100
34.0 deg, I 39
35.7 deg, I 16
48.8 deg, I 17
50.1 deg, I 29
58.2 deg, I 32
60.6 deg, I 15
61.9 deg, I 14
71.5 deg, I 6
79.3 deg, I 7

Structural model:
Lattice parameters (Å, degrees): 3.733 3.733 15.086 90.00 90.00 90.00
Space group I4mm (No. 107)
One atom of each set of equivalent atoms:
Ce: 0.000 0.000 0.000 [2 per cell]
Pu: 0.000 0.000 0.660 [2 per cell]
Pa: 0.000 0.000 0.324 [2 per cell]
N: 0.000 0.000 0.483 [2 per cell]
N: 0.000 0.000 0.867 [2 per cell]
N: 0.000 0.500 0.229 [4 per cell]

=====

No. 3
Simulated PXRD pattern of YB2As for Cu Kα (weighted mean of Kα1 and Kα2), from a structure optimized by DFT (GGA-PBE).
Peak positions follow from Bragg's law for the DFT cell and can differ from measured ones.

The 12 most intense peaks (10 to 80 degrees two-theta), in order of rising 2θ:
20.2 deg, I 1
28.2 deg, I 77
34.9 deg, I 1
35.6 deg, I 100
40.3 deg, I 39
54.8 deg, I 56
58.2 deg, I 12
60.6 deg, I 4
65.9 deg, I 15
68.2 deg, I 16
70.1 deg, I 13
75.3 deg, I 9

Structural model:
Lattice parameters (Å, degrees): 6.337 6.337 6.110 90.00 90.00 90.00
Space group I-42d (No. 122)
One atom of each set of equivalent atoms:
Y: 0.000 0.000 0.000 [4 per cell]
B: 0.186 0.250 0.625 [8 per cell]
As: 0.000 0.000 0.500 [4 per cell]

=====

No. 4
Simulated PXRD pattern of SrZr2Al for Cu Kα (weighted mean of Kα1 and Kα2), from a structure optimized by DFT (GGA-PBE).
Peak positions follow from Bragg's law for the DFT cell and can differ from measured ones.

The 12 most intense peaks (10 to 80 degrees two-theta), in order of rising 2θ:
10.8 deg, I 20
21.8 deg, I 12
26.9 deg, I 26
33.0 deg, I 8
33.1 deg, I 100
35.0 deg, I 59
41.5 deg, I 24
48.8 deg, I 11
50.3 deg, I 20
51.4 deg, I 11
61.5 deg, I 37
68.1 deg, I 8

Structural model:
Lattice parameters (Å, degrees): 3.627 3.627 8.155 90.00 90.00 90.00
Space group P4mm (No. 99)
One atom of each set of equivalent atoms:
Sr: 0.000 0.000 0.000 [1 per cell]
Zr: 0.000 0.000 0.555 [1 per cell]
Zr: 0.500 0.500 0.347 [1 per cell]
Al: 0.500 0.500 0.721 [1 per cell]

=====

Repeat the first record exactly.
Simulated PXRD pattern of PrNdPS for Cu Kα (weighted mean of Kα1 and Kα2), from a structure optimized by DFT (GGA-PBE).
Peak positions follow from Bragg's law for the DFT cell and can differ from measured ones.

The 12 most intense peaks (10 to 80 degrees two-theta), in order of rising 2θ:
26.2 deg, I 19
26.4 deg, I 57
30.5 deg, I 100
43.6 deg, I 36
43.8 deg, I 36
51.6 deg, I 9
51.8 deg, I 28
54.3 deg, I 19
63.5 deg, I 12
70.1 deg, I 8
71.9 deg, I 16
72.2 deg, I 16

Structural model:
Lattice parameters (Å, degrees): 4.1360 4.1360 20.3851 90.00 90.00 120.00
Space group R3m (No. 160, hexagonal axes)
One atom of each set of equivalent atoms:
Pr: 0.0000 0.0000 0.0000 [3 per cell]
Nd: 0.0000 0.0000 0.5053 [3 per cell]
P: 0.0000 0.0000 0.2518 [3 per cell]
S: 0.0000 0.0000 0.7535 [3 per cell]

=====

Q: Number 4 is which compound?
A: SrZr2Al